Record 1
Theoretical XRD peak list of Rb2MnH6Au for CuKα, from a structure optimized by DFT (GGA-PBE).
Peak positions follow from Bragg's law for the DFT cell and can differ from measured ones.

Crystal structure
Unit cell a=5.3758 b=5.3758 c=9.9682 alpha=90.00 beta=90.00 gamma=90.00
Space group I4/mmm (No. 139)
Unique sites:
Rb1 0.0000 0.5000 0.2500 [4 per cell]
Mn1 0.0000 0.0000 0.0000 [2 per cell]
H1 0.0000 0.0000 0.1728 [4 per cell]
H2 0.2412 0.2412 0.5000 [8 per cell]
Au1 0.0000 0.0000 0.5000 [2 per cell]

Largest 8 diffraction maxima, sorted by position, 2θ from 5° to 70°:
two_theta	I (rel.)	index
18.75	30	1 0 1
29.55	100	1 1 2
33.33	36	2 0 0
36.04	15	0 0 4
47.86	14	2 2 0
49.90	23	2 0 4
57.26	30	3 1 2
60.85	13	1 1 6

---

Record 2
Theoretical XRD peak list of RbNp3O9 for CuKα, from a structure optimized by DFT (GGA-PBE).
Peak positions follow from Bragg's law for the DFT cell and can differ from measured ones.

Crystal structure
Unit cell a=8.0122 b=8.0122 c=4.1557 alpha=90.00 beta=90.00 gamma=120.00
Space group P6/mmm (No. 191)
Unique sites:
Rb1 0.0000 0.0000 0.0000 [1 per cell]
Np1 0.0000 0.5000 0.5000 [3 per cell]
O1 0.0000 0.5000 0.0000 [3 per cell]
O2 0.2064 0.4128 0.5000 [6 per cell]

Largest 8 diffraction maxima, sorted by position, 2θ from 5° to 70°:
two_theta	I (rel.)	index
12.76	23	1 0 0
21.38	36	0 0 1
24.98	33	1 0 1
25.68	100	2 0 0
31.01	20	1 1 1
33.65	43	2 0 1
45.27	27	2 2 0
51.25	31	2 0 2

---

Record 3
Theoretical XRD peak list of Nd2Ga3Cu4 for CuKα, from a structure optimized by DFT (GGA-PBE).
Peak positions follow from Bragg's law for the DFT cell and can differ from measured ones.

Crystal structure
Unit cell a=5.9915 b=15.3831 c=7.0466 alpha=90.00 beta=90.00 gamma=90.00
Space group Cmce (No. 64)
Unique sites:
Nd1 0.0000 0.1114 0.0880 [8 per cell]
Ga1 0.0000 0.0000 0.5000 [4 per cell]
Ga2 0.2500 0.2351 0.7500 [8 per cell]
Cu1 0.0000 0.1674 0.5041 [8 per cell]
Cu2 0.2500 0.0653 0.7500 [8 per cell]

Largest 8 diffraction maxima, sorted by position, 2θ from 5° to 70°:
two_theta	I (rel.)	index
29.99	32	1 1 2
34.32	37	1 3 2
34.55	78	2 2 1
35.18	99	1 5 1
38.08	43	2 4 0
39.48	100	2 0 2
40.14	39	0 2 3
61.91	43	4 0 0

---

Record 4
Theoretical XRD peak list of As2W2S for CuKα, from a structure optimized by DFT (GGA-PBE).
Peak positions follow from Bragg's law for the DFT cell and can differ from measured ones.

Crystal structure
Unit cell a=4.4562 b=4.4562 c=9.2959 alpha=90.00 beta=90.00 gamma=90.00
Space group I4/mmm (No. 139)
Unique sites:
As1 0.0000 0.0000 0.1292 [4 per cell]
W1 0.0000 0.5000 0.2500 [4 per cell]
S1 0.0000 0.0000 0.5000 [2 per cell]

Largest 8 diffraction maxima, sorted by position, 2θ from 5° to 70°:
two_theta	I (rel.)	index
19.09	80	0 0 2
34.38	100	1 1 2
40.49	64	2 0 0
45.13	36	2 0 2
48.68	59	1 1 4
58.59	22	2 2 0
67.35	17	1 1 6
69.73	26	3 1 2

---

Record 5
Theoretical XRD peak list of La4RuPt2 for CuKα, from a structure optimized by DFT (GGA-PBE).
Peak positions follow from Bragg's law for the DFT cell and can differ from measured ones.

Crystal structure
Unit cell a=7.4999 b=12.3783 c=4.3415 alpha=90.00 beta=90.00 gamma=90.00
Space group Pbam (No. 55)
Unique sites:
La1 0.1288 0.2073 0.0000 [4 per cell]
La2 0.2440 0.9543 0.5000 [4 per cell]
Ru1 0.0000 0.0000 0.0000 [2 per cell]
Pt1 0.0904 0.6871 0.5000 [4 per cell]

Largest 8 diffraction maxima, sorted by position, 2θ from 5° to 70°:
two_theta	I (rel.)	index
24.76	42	1 1 1
31.27	62	1 4 0
32.22	34	1 3 1
32.37	100	2 1 1
34.78	50	2 2 1
41.60	39	0 0 2
43.80	48	1 5 1
52.95	28	1 4 2

---

Record 6
Theoretical XRD peak list of Y3TmRu for CuKα, from a structure optimized by DFT (GGA-PBE).
Peak positions follow from Bragg's law for the DFT cell and can differ from measured ones.

Crystal structure
Unit cell a=11.9542 b=3.9107 c=12.8780 alpha=90.00 beta=113.33 gamma=90.00
Space group Cm (No. 8)
Unique sites:
Y1 0.0000 0.0000 0.0000 [2 per cell]
Y2 0.0228 0.0000 0.3800 [2 per cell]
Y3 0.1879 0.5000 0.2379 [2 per cell]
Y4 0.2962 0.5000 0.5205 [2 per cell]
Y5 0.3312 0.0000 0.7630 [2 per cell]
Y6 0.3613 0.0000 0.1375 [2 per cell]
Tm1 0.0523 0.5000 0.6239 [2 per cell]
Tm2 0.1720 0.5000 0.9018 [2 per cell]
Ru1 0.0032 0.0000 0.7640 [2 per cell]
Ru2 0.3594 0.0000 0.3893 [2 per cell]

Largest 8 diffraction maxima, sorted by position, 2θ from 5° to 70°:
two_theta	I (rel.)	index
7.48	71	0 0 1
14.86	67	2 0 -1
30.94	99	1 1 -3
32.14	73	3 1 -1
32.55	87	3 1 -2
32.80	91	2 0 3
33.54	100	3 1 0
36.38	69	4 0 1

---

Record 7
Theoretical XRD peak list of Dy6TlIn6 for CuKα, from a structure optimized by DFT (GGA-PBE).
Peak positions follow from Bragg's law for the DFT cell and can differ from measured ones.

Crystal structure
Unit cell a=6.3542 b=6.3542 c=10.5229 alpha=90.00 beta=90.00 gamma=120.00
Space group P6/mmm (No. 191)
Unique sites:
Dy1 0.0000 0.0000 0.1812 [2 per cell]
Dy2 0.3333 0.6667 0.0000 [2 per cell]
Dy3 0.3333 0.6667 0.5000 [2 per cell]
Tl1 0.0000 0.0000 0.5000 [1 per cell]
In1 0.0000 0.5000 0.2498 [6 per cell]

Largest 8 diffraction maxima, sorted by position, 2θ from 5° to 70°:
two_theta	I (rel.)	index
28.09	82	1 1 0
30.22	41	1 0 3
32.54	54	2 0 0
32.93	96	1 1 2
34.08	43	0 0 4
36.86	100	2 0 2
58.06	43	2 2 0
60.28	41	1 1 6